For Cs4Np3AgSe8, a cell relaxed with PBE gives the calculated X-ray powder pattern in this record (λ = 1.5418 Å (Cu Kα)).
Lines closer than 0.1° are merged.

Principal peaks in the range 2θ = 10–80°, low angle first:
2theta  I (rel.)  index
10.64  24.9  0 0 3
21.37  15.1  0 0 6
24.97  19.0  2 0 2
27.92  100.0  0 2 4
37.63  33.3  2 0 8
42.05  36.3  2 2 0
43.67  12.8  0 2 10
47.64  11.2  2 2 6
51.23  18.4  4 0 4
68.36  15.5  2 4 4

```
data_Cs4Np3AgSe8
_space_group_name_H-M_alt 'R -3 m'
_space_group_IT_number 166
_space_group_name_Hall '-R 3 2"'
_cell_length_a 8.5949
_cell_length_b 8.5949
_cell_length_c 24.9533
_cell_angle_alpha 90.00
_cell_angle_beta 90.00
_cell_angle_gamma 120.00
loop_
_atom_site_label
_atom_site_type_symbol
_atom_site_fract_x
_atom_site_fract_y
_atom_site_fract_z
Cs1 Cs 0.0000 0.0000 0.0000
Cs2 Cs 0.0000 0.5000 0.0000
Np1 Np 0.0000 0.5000 0.5000
Ag1 Ag 0.0000 0.0000 0.5000
Se1 Se 0.0000 0.0000 0.2285
Se2 Se 0.0136 0.5068 0.7726
```